For RbCuP3O9, a crystal structure in the Materials Project, relaxed with PBE gives the theoretical powder XRD pattern in this record (copper Kα).
Neutral-atom scattering factors, no anomalous dispersion.

```
data_RbCuP3O9
_chemical_formula_sum 'Rb4 Cu4 P12 O36'
_space_group_name_H-M_alt 'P 1 21/c 1'
_space_group_IT_number 14
_space_group_name_Hall '-P 2ybc'
_cell_length_a 5.3769
_cell_length_b 11.5423
_cell_length_c 13.3016
_cell_angle_alpha 90.00
_cell_angle_beta 99.98
_cell_angle_gamma 90.00
loop_
_atom_site_label
_atom_site_type_symbol
_atom_site_fract_x
_atom_site_fract_y
_atom_site_fract_z
Rb1 Rb 0.0625 0.1804 0.2535
Cu1 Cu 0.0000 0.0000 0.0000
Cu2 Cu 0.0000 0.0000 0.5000
P1 P 0.2533 0.7474 0.0087
P2 P 0.4840 0.5887 0.8706
P3 P 0.4863 0.0760 0.8508
O1 O 0.0620 0.6606 0.4696
O2 O 0.1610 0.6453 0.0625
O3 O 0.2157 0.0436 0.8291
O4 O 0.2323 0.0896 0.6003
O5 O 0.3209 0.0115 0.0993
O6 O 0.3258 0.0116 0.3907
O7 O 0.3783 0.7091 0.9133
O8 O 0.4196 0.6272 0.7511
O9 O 0.4888 0.6969 0.5844
```

Most intense lines, 2θ from 10° to 90°, most intense first:
- 2θ 24.62, rel. 100, hkl 1 2 1
- 2θ 29.48, rel. 93, hkl 1 0 -4
- 2θ 22.94, rel. 73, hkl 1 2 -1
- 2θ 25.03, rel. 57, hkl 1 2 -2
- 2θ 28.07, rel. 48, hkl 1 2 2
- 2θ 33.91, rel. 43, hkl 2 0 0
- 2θ 37.72, rel. 36, hkl 0 2 5
- 2θ 31.75, rel. 36, hkl 0 4 1
- 2θ 50.47, rel. 32, hkl 1 6 0
- 2θ 21.11, rel. 32, hkl 1 1 -2